SnBTe2: theoretical PXRD pattern (λ = 1.5418 Å (Cu Kα)), based on the PBE geometry in Alexandria.
No peak broadening, texture or thermal motion is included.

Atomic structure:
Lattice parameters (Å, degrees): 6.6661 6.6661 6.6661 117.37 117.37 94.62
Fractional positions:
Sn 0.0000 0.0000 0.0000
Sn 0.7500 0.2500 0.5000
B 0.2500 0.7500 0.5000
B 0.5000 0.5000 0.0000
Te 0.2237 0.6250 0.0987
Te 0.3750 0.4737 0.5987
Te 0.5263 0.1250 0.9013
Te 0.8750 0.7763 0.4013

Principal peaks in the range 10° ≤ 2θ ≤ 90°, in order of rising 2θ:
- 2θ = 26.8°, 3.322 Å, I 100
- 2θ = 30.5°, 2.931 Å, I 92
- 2θ = 32.4°, 2.763 Å, I 25
- 2θ = 36.7°, 2.450 Å, I 17
- 2θ = 40.3°, 2.238 Å, I 23
- 2θ = 41.8°, 2.160 Å, I 14
- 2θ = 46.0°, 1.972 Å, I 17
- 2θ = 48.1°, 1.893 Å, I 30
- 2θ = 56.8°, 1.620 Å, I 23
- 2θ = 63.4°, 1.467 Å, I 15

SrB7: theoretical PXRD pattern (λ = 1.5418 Å (Cu Kα)), based on the PBE geometry in Alexandria.
No peak broadening, texture or thermal motion is included.

Atomic structure:
Lattice parameters (Å, degrees): 5.4101 5.4101 2.9639 105.72 105.72 72.00
Fractional positions:
Sr 0.0000 0.0000 0.0000
B 0.2470 0.5318 0.3911
B 0.2979 0.2979 0.7995
B 0.4682 0.7530 0.6089
B 0.5000 0.5000 0.0000
B 0.5318 0.2470 0.3911
B 0.7021 0.7021 0.2005
B 0.7530 0.4682 0.6089

Principal peaks in the range 10° ≤ 2θ ≤ 90°, in order of rising 2θ:
- 2θ = 17.6°, 5.037 Å, I 90
- 2θ = 21.5°, 4.124 Å, I 83
- 2θ = 28.1°, 3.180 Å, I 63
- 2θ = 32.1°, 2.789 Å, I 44
- 2θ = 33.4°, 2.687 Å, I 49
- 2θ = 35.6°, 2.522 Å, I 100
- 2θ = 40.0°, 2.255 Å, I 39
- 2θ = 40.1°, 2.247 Å, I 39
- 2θ = 43.1°, 2.097 Å, I 74
- 2θ = 44.1°, 2.053 Å, I 29

SrB11: theoretical PXRD pattern (λ = 1.5418 Å (Cu Kα)), based on the PBE geometry in Alexandria.
No peak broadening, texture or thermal motion is included.

Atomic structure:
Lattice parameters (Å, degrees): 7.1156 7.1156 7.1156 126.17 76.50 130.03
Fractional positions:
Sr 0.4311 0.1811 0.2500
Sr 0.5689 0.8189 0.7500
B 0.0000 0.0000 0.0000
B 0.0000 0.0000 0.5000
B 0.0000 0.5000 0.0000
B 0.0170 0.2599 0.4830
B 0.0170 0.5339 0.7571
B 0.0797 0.3297 0.7500
B 0.1562 0.3488 0.2869
B 0.1562 0.8693 0.8074
B 0.2768 0.2599 0.7429
B 0.2768 0.5339 0.0170
B 0.4381 0.1307 0.7869
B 0.4381 0.6512 0.3074
B 0.5000 0.0000 0.5000
B 0.5619 0.3488 0.6926
B 0.5619 0.8693 0.2131
B 0.7232 0.4661 0.9830
B 0.7232 0.7401 0.2571
B 0.8438 0.1307 0.1926
B 0.8438 0.6512 0.7131
B 0.9203 0.6703 0.2500
B 0.9830 0.4661 0.2429
B 0.9830 0.7401 0.5170

Principal peaks in the range 10° ≤ 2θ ≤ 90°, in order of rising 2θ:
- 2θ = 15.9°, 5.588 Å, I 53
- 2θ = 16.7°, 5.294 Å, I 64
- 2θ = 28.2°, 3.166 Å, I 28
- 2θ = 32.1°, 2.791 Å, I 81
- 2θ = 32.5°, 2.752 Å, I 58
- 2θ = 33.9°, 2.646 Å, I 100
- 2θ = 39.9°, 2.258 Å, I 49
- 2θ = 41.1°, 2.198 Å, I 24
- 2θ = 53.0°, 1.727 Å, I 23
- 2θ = 68.1°, 1.377 Å, I 22

SrTbB12: theoretical PXRD pattern (λ = 1.5418 Å (Cu Kα)), based on the PBE geometry in Alexandria.
No peak broadening, texture or thermal motion is included.

Atomic structure:
Lattice parameters (Å, degrees): 4.1437 4.1437 8.2925 90.00 90.00 90.00
Fractional positions:
Sr 0.0000 0.0000 0.0000
Tb 0.0000 0.0000 0.5000
B 0.2006 0.5000 0.2534
B 0.2006 0.5000 0.7466
B 0.5000 0.2006 0.2534
B 0.5000 0.2006 0.7466
B 0.5000 0.5000 0.1021
B 0.5000 0.5000 0.4015
B 0.5000 0.5000 0.5985
B 0.5000 0.5000 0.8979
B 0.5000 0.7994 0.2534
B 0.5000 0.7994 0.7466
B 0.7994 0.5000 0.2534
B 0.7994 0.5000 0.7466

Principal peaks in the range 10° ≤ 2θ ≤ 90°, in order of rising 2θ:
- 2θ = 10.7°, 8.292 Å, I 14
- 2θ = 21.4°, 4.145 Å, I 57
- 2θ = 30.5°, 2.931 Å, I 100
- 2θ = 37.6°, 2.393 Å, I 43
- 2θ = 43.7°, 2.072 Å, I 22
- 2θ = 49.2°, 1.854 Å, I 49
- 2θ = 54.2°, 1.692 Å, I 25
- 2θ = 67.8°, 1.382 Å, I 28
- 2θ = 72.1°, 1.311 Å, I 20
- 2θ = 88.2°, 1.108 Å, I 17

SrTcB14: theoretical PXRD pattern (λ = 1.5418 Å (Cu Kα)), based on the PBE geometry in Alexandria.
No peak broadening, texture or thermal motion is included.

Atomic structure:
Lattice parameters (Å, degrees): 7.4611 7.4611 7.4611 133.49 86.77 111.60
Fractional positions:
Sr 0.3865 0.1365 0.2500
Sr 0.6135 0.8635 0.7500
Tc 0.0000 0.0000 0.5000
Tc 0.0000 0.5000 0.0000
B 0.0072 0.1314 0.8757
B 0.0299 0.2051 0.3318
B 0.0299 0.6981 0.8248
B 0.0791 0.6646 0.4144
B 0.2014 0.5360 0.6654
B 0.2188 0.4994 0.3970
B 0.2188 0.8218 0.7194
B 0.2443 0.8686 0.3757
B 0.2498 0.3354 0.9144
B 0.3706 0.5360 0.8346
B 0.3733 0.2051 0.6752
B 0.3733 0.6981 0.1682
B 0.3976 0.1782 0.8970
B 0.3976 0.5006 0.2194
B 0.6024 0.4994 0.7806
B 0.6024 0.8218 0.1030
B 0.6267 0.3019 0.8318
B 0.6267 0.7949 0.3248
B 0.6294 0.4640 0.1654
B 0.7502 0.6646 0.0856
B 0.7557 0.1314 0.6243
B 0.7812 0.1782 0.2806
B 0.7812 0.5006 0.6030
B 0.7986 0.4640 0.3346
B 0.9209 0.3354 0.5856
B 0.9701 0.3019 0.1752
B 0.9701 0.7949 0.6682
B 0.9928 0.8686 0.1243

Principal peaks in the range 10° ≤ 2θ ≤ 90°, in order of rising 2θ:
- 2θ = 13.3°, 6.635 Å, I 34
- 2θ = 16.3°, 5.422 Å, I 100
- 2θ = 24.7°, 3.603 Å, I 31
- 2θ = 26.9°, 3.317 Å, I 40
- 2θ = 27.4°, 3.259 Å, I 31
- 2θ = 33.1°, 2.709 Å, I 57
- 2θ = 33.3°, 2.692 Å, I 91
- 2θ = 40.8°, 2.212 Å, I 33
- 2θ = 41.0°, 2.203 Å, I 100
- 2θ = 53.6°, 1.709 Å, I 44

SrTiB: theoretical PXRD pattern (λ = 1.5418 Å (Cu Kα)), based on the PBE geometry in Alexandria.
No peak broadening, texture or thermal motion is included.

Atomic structure:
Lattice parameters (Å, degrees): 3.1184 3.4156 11.7425 98.29 97.14 90.01
Fractional positions:
Sr 0.0858 0.3306 0.1577
Sr 0.9142 0.6694 0.8423
Ti 0.2969 0.0498 0.6007
Ti 0.7031 0.9502 0.3993
B 0.2323 0.4812 0.4623
B 0.7677 0.5188 0.5377

Principal peaks in the range 10° ≤ 2θ ≤ 90°, in order of rising 2θ:
- 2θ = 23.1°, 3.843 Å, I 45
- 2θ = 28.6°, 3.121 Å, I 100
- 2θ = 28.9°, 3.090 Å, I 34
- 2θ = 31.0°, 2.882 Å, I 39
- 2θ = 32.6°, 2.745 Å, I 23
- 2θ = 34.6°, 2.594 Å, I 34
- 2θ = 34.9°, 2.573 Å, I 31
- 2θ = 39.9°, 2.259 Å, I 56
- 2θ = 40.0°, 2.255 Å, I 23
- 2θ = 51.1°, 1.786 Å, I 20